Structure and computed PXRD pattern of GeTe2WI (a cell relaxed with GGA-PBE; Cu Ka).
Neutral-atom scattering factors, no anomalous dispersion.

Main lines, by angle (15 to 90 degrees two-theta):
2θ 15.82, I 41
2θ 16.70, I 75
2θ 23.08, I 22
2θ 28.63, I 57
2θ 31.95, I 58
2θ 33.77, I 100
2θ 47.18, I 78
2θ 48.51, I 36
2θ 59.27, I 39
2θ 89.73, I 26

Cell and atoms:
```
data_GeTe2WI
_chemical_formula_sum 'Ge1 Te2 W1 I1'
_cell_length_a 5.3077
_cell_length_b 5.3077
_cell_length_c 5.6023
_cell_angle_alpha 90.00
_cell_angle_beta 90.00
_cell_angle_gamma 90.00
_symmetry_space_group_name_H-M 'P 1'
_symmetry_Int_Tables_number 1
loop_
_symmetry_equiv_pos_as_xyz
'x,y,z'
loop_
_atom_site_label
_atom_site_type_symbol
_atom_site_fract_x
_atom_site_fract_y
_atom_site_fract_z
_atom_site_occupancy
Ge1 Ge 0.0000 0.0000 0.0000 1
Te1 Te 0.0000 0.5000 0.5000 1
Te2 Te 0.5000 0.0000 0.5000 1
W1 W 0.5000 0.5000 0.5000 1
I1 I 0.5000 0.5000 0.0000 1
```

***

Structure and computed PXRD pattern of Pa2Al2Zn15 (a cell relaxed with GGA-PBE; Cu Ka).
Neutral-atom scattering factors, no anomalous dispersion.

Main lines, by angle (15 to 90 degrees two-theta):
2θ 28.37, I 46
2θ 34.49, I 33
2θ 35.66, I 17
2θ 40.03, I 45
2θ 40.29, I 100
2θ 41.07, I 40
2θ 58.10, I 21
2θ 58.70, I 24
2θ 65.72, I 20
2θ 74.31, I 17

Cell and atoms:
```
data_Pa2Al2Zn15
_chemical_formula_sum 'Pa2 Al2 Zn15'
_cell_length_a 6.8097
_cell_length_b 6.8097
_cell_length_c 6.8097
_cell_angle_alpha 82.83
_cell_angle_beta 82.83
_cell_angle_gamma 82.83
_symmetry_space_group_name_H-M 'P 1'
_symmetry_Int_Tables_number 1
loop_
_symmetry_equiv_pos_as_xyz
'x,y,z'
loop_
_atom_site_label
_atom_site_type_symbol
_atom_site_fract_x
_atom_site_fract_y
_atom_site_fract_z
_atom_site_occupancy
Pa1 Pa 0.1636 0.1636 0.1636 1
Pa2 Pa 0.8364 0.8364 0.8364 1
Al1 Al 0.3987 0.3987 0.3987 1
Al2 Al 0.6013 0.6013 0.6013 1
Zn1 Zn 0.0000 0.5000 0.5000 1
Zn2 Zn 0.1458 0.1458 0.6628 1
Zn3 Zn 0.1458 0.6628 0.1458 1
Zn4 Zn 0.1993 0.5000 0.8007 1
Zn5 Zn 0.1993 0.8007 0.5000 1
Zn6 Zn 0.3372 0.8542 0.8542 1
Zn7 Zn 0.5000 0.0000 0.5000 1
Zn8 Zn 0.5000 0.1993 0.8007 1
Zn9 Zn 0.5000 0.5000 0.0000 1
Zn10 Zn 0.5000 0.8007 0.1993 1
Zn11 Zn 0.6628 0.1458 0.1458 1
Zn12 Zn 0.8007 0.1993 0.5000 1
Zn13 Zn 0.8007 0.5000 0.1993 1
Zn14 Zn 0.8542 0.3372 0.8542 1
Zn15 Zn 0.8542 0.8542 0.3372 1
```

***

Structure and computed PXRD pattern of Dy4YPb5 (a cell relaxed with GGA-PBE; Cu Ka).
Neutral-atom scattering factors, no anomalous dispersion.

Main lines, by angle (15 to 90 degrees two-theta):
2θ 24.50, I 5
2θ 28.36, I 100
2θ 40.54, I 78
2θ 47.93, I 3
2θ 50.21, I 28
2θ 58.67, I 13
2θ 64.53, I 1
2θ 66.42, I 37
2θ 73.74, I 28
2θ 87.71, I 9

Cell and atoms:
```
data_Dy4YPb5
_chemical_formula_sum 'Dy4 Y1 Pb5'
_cell_length_a 7.7093
_cell_length_b 7.7093
_cell_length_c 7.7093
_cell_angle_alpha 99.59
_cell_angle_beta 99.59
_cell_angle_gamma 131.82
_symmetry_space_group_name_H-M 'P 1'
_symmetry_Int_Tables_number 1
loop_
_symmetry_equiv_pos_as_xyz
'x,y,z'
loop_
_atom_site_label
_atom_site_type_symbol
_atom_site_fract_x
_atom_site_fract_y
_atom_site_fract_z
_atom_site_occupancy
Dy1 Dy 0.1005 0.7005 0.8010 1
Dy2 Dy 0.2995 0.1005 0.4001 1
Dy3 Dy 0.7005 0.8995 0.5999 1
Dy4 Dy 0.8995 0.2995 0.1990 1
Y1 Y 0.4980 0.4980 0.0000 1
Pb1 Pb 0.1990 0.4000 0.5988 1
Pb2 Pb 0.4000 0.8012 0.2011 1
Pb3 Pb 0.6001 0.1990 0.7989 1
Pb4 Pb 0.8012 0.6001 0.4012 1
Pb5 Pb 0.9978 0.9978 0.0000 1
```